(1)
CuAgAu4: simulated XRD peak list (Cu Kα X-rays), based on a structure optimized by DFT (GGA-PBE).

Peak list (10 most intense, 2θ from 5° to 70°, most intense first)
d (Å), Rel. int., hkl
2.364, 100, 1 1 -2
2.090, 18, 4 0 -2
2.045, 16, 2 0 2
2.010, 16, 0 2 0
1.449, 11, 4 2 -2
1.433, 10, 2 2 2
3.655, 8, 1 1 0
1.461, 5, 2 0 -4
1.463, 5, 6 0 0
4.388, 4, 2 0 0

Crystal structure
```
data_CuAgAu4
_cell_length_a 9.312
_cell_length_b 4.020
_cell_length_c 5.844
_cell_angle_alpha 90.00
_cell_angle_beta 109.54
_cell_angle_gamma 90.00
_space_group_name_H-M_alt 'C 1 2/m 1'
_space_group_IT_number 12
_space_group_name_Hall '-C 2y'
loop_
_atom_site_label
_atom_site_type_symbol
_atom_site_fract_x
_atom_site_fract_y
_atom_site_fract_z
Cu1 Cu 0.000 0.000 0.000
Ag1 Ag 0.000 0.000 0.500
Au1 Au 0.160 0.500 0.323
Au2 Au 0.166 0.500 0.836
```

***

(2)
CsPr2OsO8: simulated XRD peak list (Cu Kα X-rays), based on a structure optimized by DFT (GGA-PBE).

Peak list (10 most intense, 2θ from 5° to 70°, most intense first)
d (Å), Rel. int., hkl
3.352, 100, 1 1 0
3.067, 61, 0 1 2
3.317, 54, 1 0 -2
2.085, 42, 1 2 -2
7.478, 40, 0 0 1
2.681, 36, 0 2 0
2.262, 24, 0 1 3
1.986, 22, 2 1 -2
2.495, 18, 1 0 2
1.809, 18, 1 1 -4

Crystal structure
```
data_CsPr2OsO8
_cell_length_a 4.475
_cell_length_b 5.362
_cell_length_c 7.789
_cell_angle_alpha 90.00
_cell_angle_beta 106.23
_cell_angle_gamma 90.00
_space_group_name_H-M_alt 'P 1 2/m 1'
_space_group_IT_number 10
_space_group_name_Hall '-P 2y'
loop_
_atom_site_label
_atom_site_type_symbol
_atom_site_fract_x
_atom_site_fract_y
_atom_site_fract_z
Cs1 Cs 0.000 0.000 0.000
Pr1 Pr 0.375 0.500 0.693
Os1 Os 0.000 0.000 0.500
O1 O 0.184 0.265 0.395
O2 O 0.329 0.500 0.993
O3 O 0.337 0.000 0.706
```

***

- What is the formula in the second record?
  CsPr2OsO8